Calculated X-ray powder pattern of SrCa7TiMn7O23 for Cu Kα (weighted mean of Kα1 and Kα2), from a crystal structure in Alexandria, relaxed with PBE+U.
Neutral-atom scattering factors, no anomalous dispersion.

Main lines, in order of rising 2θ (10° ≤ 2θ ≤ 90°):
Position (°2θ)  d [Å]  I/Imax
23.2  3.831  9
33.1  2.710  100
33.1  2.704  18
47.4  1.919  15
47.5  1.913  34
59.0  1.565  22
59.1  1.562  23
69.3  1.356  7
69.4  1.354  11
79.2  1.210  5

a b c (Å): 10.8313 10.8168 7.6772
angles (deg): 90.00 90.16 90.00
Space group Cm (No. 8)
Symmetry-distinct sites (fractional):
Sr1 0.0000 0.0000 0.0000 (multiplicity 2)
Ca1 0.0002 0.5000 0.9985 (multiplicity 2)
Ca2 0.2426 0.2336 0.0029 (multiplicity 4)
Ca3 0.2564 0.2403 0.5057 (multiplicity 4)
Ca4 0.4815 0.0000 0.5027 (multiplicity 2)
Ca5 0.4988 0.5000 0.5031 (multiplicity 2)
Ti1 0.2389 0.5000 0.2761 (multiplicity 2)
Mn1 0.0011 0.2515 0.7522 (multiplicity 4)
Mn2 0.2462 0.5000 0.7456 (multiplicity 2)
Mn3 0.2495 0.0000 0.2530 (multiplicity 2)
Mn4 0.2502 0.0000 0.7514 (multiplicity 2)
Mn5 0.4994 0.2496 0.2494 (multiplicity 4)
O1 0.0411 0.2545 0.5008 (multiplicity 4)
O2 0.1259 0.1266 0.2136 (multiplicity 4)
O3 0.1267 0.3752 0.1943 (multiplicity 4)
O4 0.1275 0.1267 0.7886 (multiplicity 4)
O5 0.1291 0.3746 0.8145 (multiplicity 4)
O6 0.1952 0.5000 0.4960 (multiplicity 2)
O7 0.2135 0.0000 0.5020 (multiplicity 2)
O8 0.2856 0.0000 0.0023 (multiplicity 2)
O9 0.3738 0.3768 0.2829 (multiplicity 4)
O10 0.3752 0.1252 0.2950 (multiplicity 4)
O11 0.3759 0.3767 0.7079 (multiplicity 4)
O12 0.3770 0.1238 0.7101 (multiplicity 4)
O13 0.4561 0.2546 0.0005 (multiplicity 4)